# LiMnBO3
Computed PXRD pattern, λ = 1.5418 Å (Cu Kα). Input: a DFT-relaxed cell (GGA+U, the Materials Project).

Principal peaks in the range 2θ = 15–90°, sorted by position:
2θ/deg	I/Imax
20.2	100
20.9	33
27.3	93
33.1	31
34.5	37
34.8	37
45.3	34
51.0	21
51.5	20
56.5	24

Cell and atoms:
Cell: 3.258 9.734 9.316 Å, 90.00 109.43 90.00°
Space group P2_1/c (No. 14)
Inequivalent atoms, fractional coordinates:
Li 0.109 0.241 0.364
Mn 0.492 0.541 0.742
B 0.154 0.706 0.402
O 0.044 0.600 0.294
O 0.091 0.659 0.846
O 0.316 0.683 0.556